No. 1
This entry pairs a crystal structure of CaFe3Si2O9 with its calculated XRD peak list. Radiation: Cu Kα (weighted mean of Kα1 and Kα2). Structure: a structure optimized by DFT (PBE+U).

Structural model:
```
data_CaFe3Si2O9
_cell_length_a 17.873
_cell_length_b 6.603
_cell_length_c 8.397
_cell_angle_alpha 90.00
_cell_angle_beta 90.00
_cell_angle_gamma 90.00
_symmetry_space_group_name_H-M 'P n m a'
_symmetry_Int_Tables_number 62
loop_
_symmetry_equiv_pos_as_xyz
'x,y,z'
'-x,-y,-z'
'-x+1/2,-y,z+1/2'
'x+1/2,y,-z+1/2'
'x+1/2,-y+1/2,-z+1/2'
'-x+1/2,y+1/2,z+1/2'
'-x,y+1/2,-z'
'x,-y+1/2,z'
loop_
_atom_site_label
_atom_site_fract_x
_atom_site_fract_y
_atom_site_fract_z
Ca1 0.056 0.250 0.013
Fe1 0.124 0.051 0.363
Fe2 0.230 0.750 0.574
Si1 0.084 0.750 0.177
Si2 0.223 0.750 0.938
O1 0.037 0.545 0.146
O2 0.071 0.250 0.469
O3 0.110 0.750 0.370
O4 0.156 0.250 0.196
O5 0.166 0.750 0.090
O6 0.176 0.750 0.774
O7 0.225 0.040 0.460
```

Largest 10 diffraction maxima, sorted by position, 2θ from 10° to 80°:
d/Å	I/Imax	index
6.119	100	2 0 1
5.190	9	0 1 1
4.859	23	3 0 1
4.486	24	2 1 1
3.944	8	4 0 1
3.701	9	4 1 0
3.060	9	4 0 2
2.776	13	4 1 2
2.720	11	5 0 2
2.568	14	1 2 2

---

No. 2
This entry pairs a crystal structure of CaFeSi2O6 with its calculated XRD peak list. Radiation: Cu Kα (weighted mean of Kα1 and Kα2). Structure: a structure optimized by DFT (PBE+U).

Structural model:
```
data_CaFeSi2O6
_cell_length_a 9.975
_cell_length_b 9.154
_cell_length_c 5.334
_cell_angle_alpha 90.00
_cell_angle_beta 105.38
_cell_angle_gamma 90.00
_symmetry_space_group_name_H-M 'C 1 2/c 1'
_symmetry_Int_Tables_number 15
loop_
_symmetry_equiv_pos_as_xyz
'x,y,z'
'-x,-y,-z'
'-x,y,-z+1/2'
'x,-y,z+1/2'
'x+1/2,y+1/2,z'
'-x+1/2,-y+1/2,-z'
'-x+1/2,y+1/2,-z+1/2'
'x+1/2,-y+1/2,z+1/2'
loop_
_atom_site_label
_atom_site_fract_x
_atom_site_fract_y
_atom_site_fract_z
Ca1 0.000 0.202 0.250
Fe1 0.000 0.408 0.750
Si1 0.212 0.092 0.763
O1 0.119 0.409 0.154
O2 0.135 0.245 0.675
O3 0.151 0.017 0.999
```

Largest 10 diffraction maxima, sorted by position, 2θ from 10° to 80°:
d/Å	I/Imax	index
6.631	23	1 1 0
3.052	100	2 2 -1
3.026	39	3 1 0
2.624	33	1 3 -1
2.580	45	2 2 1
2.572	42	0 0 2
2.181	25	3 3 -1
1.799	17	1 5 0
1.651	19	2 2 -3
1.460	19	5 3 1

---

Question: Which formula does entry 2 have?
Answer: CaFeSi2O6